Starting from a PBE-relaxed structure, the PXRD pattern of GaCuAsO6 was calculated for Cu Ka.
Lines closer than 0.1° are merged.

Cell and atoms:
Cell lengths 5.0074, 5.0074, 8.4145 Å; angles 90.00, 90.00, 120.00 degrees
Space group P-31c (No. 163)
Unique sites:
Ga 0.3333 0.6667 0.2500 x2
Cu 0.0000 0.0000 0.0000 x2
As 0.3333 0.6667 0.7500 x2
O 0.0191 0.3594 0.6288 x12

Principal peaks in the range 5° ≤ 2θ ≤ 70°, sorted by position:
2θ (°)  I_rel
21.12  14
29.58  100
35.87  42
41.99  23
47.15  26
57.20  48
60.63  24
64.46  21